Starting from a structure optimized by DFT (PBE+U), the powder diffraction line list of Mg5Fe6S6O10 was calculated for copper Kα.
Intensities are scaled so that the largest is 1000.

Atomic structure:
Cell: 5.6461 8.8666 10.5696 Å, 91.94 91.57 102.67°
Positions (direct):
Mg (0.0000, 0.0000, 0.0000)
Mg (0.1982, 0.4003, 0.0118)
Mg (0.3994, 0.8001, 0.0048)
Mg (0.5990, 0.2001, 0.0050)
Mg (0.7983, 0.6006, 0.0119)
Fe (0.0613, 0.4665, 0.5267)
Fe (0.2256, 0.7981, 0.4934)
Fe (0.3946, 0.1332, 0.5272)
Fe (0.5593, 0.4647, 0.4932)
Fe (0.7276, 0.7998, 0.5271)
Fe (0.8924, 0.1315, 0.4935)
S (0.0615, 0.9771, 0.6376)
S (0.2106, 0.2976, 0.3827)
S (0.3947, 0.6435, 0.6373)
S (0.5440, 0.9645, 0.3831)
S (0.7283, 0.3104, 0.6375)
S (0.8772, 0.6311, 0.3827)
O (0.0460, 0.7871, 0.0802)
O (0.1514, 0.6147, 0.9353)
O (0.2442, 0.1814, 0.0794)
O (0.3562, 0.0160, 0.9275)
O (0.4431, 0.5860, 0.0851)
O (0.5525, 0.4181, 0.9357)
O (0.6470, 0.9841, 0.0767)
O (0.7534, 0.8133, 0.9300)
O (0.8422, 0.3826, 0.0843)
O (0.9552, 0.2190, 0.9310)

Peak list (8 most intense, 10 to 80 degrees two-theta, low angle first)
2θ (°)	I/Imax	hkl
16.8	1000	0 0 2
34.8	78	0 3 -2
39.6	69	0 3 -3
40.6	156	-2 1 3
41.3	73	0 3 3
42.7	76	2 2 0
43.1	65	2 2 -1
53.7	62	-2 1 5